# CeY3Er8
Simulated powder XRD pattern, Cu Kα. Input: a crystal structure in Alexandria, relaxed with GGA-PBE.
Intensities are scaled so that the largest is 100.

Largest 10 diffraction maxima, in order of falling intensity, 10 to 90 degrees two-theta:
h k l, 2θ (°), I/Imax
3 1 2, 36.65, 100
2 1 1, 24.43, 90
2 2 0, 29.34, 81
4 0 2, 45.08, 71
0 0 4, 31.76, 66
2 1 3, 33.32, 61
2 0 2, 26.04, 59
1 1 0, 14.55, 58
1 1 4, 35.09, 46
3 2 1, 38.53, 45

Structural model:
abc: 8.6113 8.6113 11.2711
angles: 90.00 90.00 90.00
Space group I-42m (No. 121)
Symmetry-distinct sites (fractional):
Ce: 0.0000 0.0000 0.0000 [2 per cell]
Y: 0.0000 0.0000 0.5000 [2 per cell]
Y: 0.0000 0.5000 0.2500 [4 per cell]
Er: 0.1253 0.1253 0.2342 [8 per cell]
Er: 0.2317 0.2317 0.9673 [8 per cell]